# 1
Computed powder X-ray diffraction pattern
Compound: Y4AlSiNO8
Radiation: Cu Kα (λ = 1.5418 Å)
Structure: DFT lattice parameters and positions (PBE)
Neutral-atom scattering factors, no anomalous dispersion.

```
Y4AlSiNO8
1.0
7.667 0.000 0.000
0.000 10.498 0.000
-3.690 0.000 10.355
Y Al Si N O
16 4 4 4 32
Cartesian
-0.879 1.057 2.900 Y
-2.724 4.192 8.078 Y
-0.770 6.509 5.898 Y
1.075 9.238 0.720 Y
-0.757 1.332 9.522 Y
1.088 3.917 4.345 Y
2.898 6.201 1.984 Y
1.053 9.545 7.162 Y
2.924 0.952 3.193 Y
1.079 4.297 8.371 Y
2.888 6.581 6.011 Y
4.734 9.165 0.833 Y
2.902 1.260 9.636 Y
4.747 3.989 4.458 Y
6.701 6.306 2.278 Y
4.856 9.441 7.456 Y
-1.178 7.199 9.000 Al
0.667 8.547 3.823 Al
3.310 1.951 6.533 Al
5.155 3.298 1.355 Al
-1.093 1.925 6.368 Si
0.752 3.323 1.191 Si
3.225 7.174 9.165 Si
5.070 8.572 3.987 Si
-2.885 7.809 9.191 N
-1.039 7.937 4.014 N
5.016 2.561 6.342 N
6.861 2.688 1.164 N
-2.747 0.243 9.300 O
-0.902 5.006 4.122 O
-0.391 2.165 4.894 O
-2.236 3.084 10.071 O
-0.949 0.338 6.871 O
0.896 4.911 1.693 O
1.120 7.598 2.366 O
-0.725 8.149 7.543 O
-0.869 5.521 8.537 O
0.977 10.225 3.360 O
1.484 2.498 2.442 O
-0.361 2.750 7.620 O
3.176 7.672 0.208 O
1.331 8.074 5.386 O
2.920 0.051 1.099 O
1.075 5.198 6.277 O
2.902 5.300 4.078 O
1.057 10.447 9.256 O
2.645 2.424 4.970 O
0.800 2.825 10.147 O
4.338 7.747 2.736 O
2.493 7.999 7.913 O
3.000 0.272 6.996 O
4.845 4.976 1.818 O
4.702 2.349 2.812 O
2.857 2.900 7.990 O
3.080 5.587 8.662 O
4.926 10.160 3.484 O
6.213 7.414 0.284 O
4.368 8.333 5.462 O
4.879 5.492 6.233 O
6.724 10.255 1.056 O
```

Peak list (6 most intense, 10 to 90 degrees two-theta, in order of rising 2θ)
- 2θ = 12.01°, 7.372 Å, I = 19
- 2θ = 27.20°, 3.279 Å, I = 19
- 2θ = 28.84°, 3.096 Å, I = 100
- 2θ = 30.84°, 2.899 Å, I = 24
- 2θ = 31.01°, 2.884 Å, I = 56
- 2θ = 47.44°, 1.917 Å, I = 18

---

# 2
Computed powder X-ray diffraction pattern
Compound: Sm2AlNO3
Radiation: Cu Kα (λ = 1.5418 Å)
Structure: DFT lattice parameters and positions (PBE)
Neutral-atom scattering factors, no anomalous dispersion.

```
Sm2AlNO3
1.0
-1.848 1.848 6.216
1.848 -1.848 6.216
1.848 1.848 -6.216
Sm Al N O
2 1 1 3
Cartesian
0.000 0.000 0.000 Sm
0.000 0.000 3.601 Sm
0.000 0.000 7.937 Al
0.000 0.000 5.932 N
1.848 0.000 1.894 O
0.000 1.848 1.894 O
0.000 0.000 10.111 O
```

Peak list (6 most intense, 10 to 90 degrees two-theta, in order of rising 2θ)
- 2θ = 25.14°, 3.542 Å, I = 51
- 2θ = 32.46°, 2.758 Å, I = 100
- 2θ = 34.32°, 2.613 Å, I = 62
- 2θ = 45.34°, 2.000 Å, I = 42
- 2θ = 49.32°, 1.848 Å, I = 31
- 2θ = 60.29°, 1.535 Å, I = 36

---

# 3
Computed powder X-ray diffraction pattern
Compound: Pr3AlN
Radiation: Cu Kα (λ = 1.5418 Å)
Structure: DFT lattice parameters and positions (PBE)
Neutral-atom scattering factors, no anomalous dispersion.

```
Pr3AlN
1.0
5.048 0.000 0.000
0.000 5.048 0.000
0.000 0.000 5.048
Pr Al N
3 1 1
Cartesian
0.000 0.000 2.524 Pr
0.000 2.524 0.000 Pr
2.524 0.000 0.000 Pr
2.524 2.524 2.524 Al
0.000 0.000 0.000 N
```

Peak list (6 most intense, 10 to 90 degrees two-theta, in order of rising 2θ)
- 2θ = 17.57°, 5.048 Å, I = 25
- 2θ = 30.68°, 2.915 Å, I = 100
- 2θ = 35.57°, 2.524 Å, I = 57
- 2θ = 51.18°, 1.785 Å, I = 40
- 2θ = 60.86°, 1.522 Å, I = 43
- 2θ = 86.15°, 1.129 Å, I = 18

---

# 4
Computed powder X-ray diffraction pattern
Compound: ScAlN2
Radiation: Cu Kα (λ = 1.5418 Å)
Structure: DFT lattice parameters and positions (PBE)
Neutral-atom scattering factors, no anomalous dispersion.

```
ScAlN2
1.0
5.783 0.000 0.000
0.000 6.789 0.000
0.000 0.000 5.034
Sc Al N
4 4 8
Cartesian
0.536 0.842 0.000 Sc
2.355 4.237 2.517 Sc
3.428 2.552 0.000 Sc
5.246 5.946 2.517 Sc
0.439 4.252 0.080 Al
2.453 0.858 2.597 Al
3.330 5.931 0.080 Al
5.344 2.536 2.597 Al
0.352 4.138 1.979 N
0.573 0.955 2.154 N
2.319 4.349 4.671 N
2.539 0.744 4.496 N
3.243 6.045 1.979 N
3.464 2.440 2.154 N
5.210 5.834 4.671 N
5.431 2.650 4.496 N
```

Peak list (6 most intense, 10 to 90 degrees two-theta, in order of rising 2θ)
- 2θ = 30.54°, 2.927 Å, I = 98
- 2θ = 35.47°, 2.531 Å, I = 100
- 2θ = 35.67°, 2.517 Å, I = 89
- 2θ = 35.81°, 2.507 Å, I = 53
- 2θ = 54.76°, 1.676 Å, I = 56
- 2θ = 67.09°, 1.395 Å, I = 43

---

# 5
Computed powder X-ray diffraction pattern
Compound: ScAlN2
Radiation: Cu Kα (λ = 1.5418 Å)
Structure: DFT lattice parameters and positions (PBE)
Neutral-atom scattering factors, no anomalous dispersion.

```
ScAlN2
1.0
-2.199 2.199 4.199
2.199 -2.199 4.199
2.199 2.199 -4.199
Sc Al N
2 2 4
Cartesian
2.199 1.100 1.050 Sc
0.000 1.100 3.149 Sc
2.199 -1.100 3.149 Al
0.000 3.299 1.050 Al
2.199 1.100 -1.155 N
0.000 1.100 0.945 N
2.199 1.100 3.254 N
0.000 1.100 5.353 N
```

Peak list (6 most intense, 10 to 90 degrees two-theta, in order of rising 2θ)
- 2θ = 35.93°, 2.499 Å, I = 64
- 2θ = 41.04°, 2.199 Å, I = 100
- 2θ = 43.09°, 2.099 Å, I = 42
- 2θ = 59.43°, 1.555 Å, I = 29
- 2θ = 61.01°, 1.519 Å, I = 51
- 2θ = 76.18°, 1.250 Å, I = 25

---

# 6
Computed powder X-ray diffraction pattern
Compound: SrAlSiN3
Radiation: Cu Kα (λ = 1.5418 Å)
Structure: DFT lattice parameters and positions (PBE)
Neutral-atom scattering factors, no anomalous dispersion.

```
SrAlSiN3
1.0
5.748 0.000 0.000
0.000 5.198 0.000
-2.826 0.000 5.013
Sr Al Si N
2 2 2 6
Cartesian
0.543 0.000 0.946 Sr
2.379 2.599 4.068 Sr
0.393 5.102 4.143 Al
2.529 2.503 0.871 Al
-0.515 2.528 2.643 Si
3.437 5.127 2.371 Si
-0.903 0.808 3.023 N
0.772 2.592 1.495 N
-0.165 3.290 4.185 N
3.088 0.691 0.828 N
2.150 5.191 3.518 N
3.825 3.407 1.990 N
```

Peak list (6 most intense, 10 to 90 degrees two-theta, in order of rising 2θ)
- 2θ = 24.68°, 3.607 Å, I = 52
- 2θ = 31.10°, 2.876 Å, I = 30
- 2θ = 34.51°, 2.599 Å, I = 52
- 2θ = 35.43°, 2.533 Å, I = 50
- 2θ = 35.68°, 2.516 Å, I = 100
- 2θ = 67.01°, 1.397 Å, I = 27

---

# 7
Computed powder X-ray diffraction pattern
Compound: Sm3AlN
Radiation: Cu Kα (λ = 1.5418 Å)
Structure: DFT lattice parameters and positions (PBE)
Neutral-atom scattering factors, no anomalous dispersion.

```
Sm3AlN
1.0
4.916 0.000 0.000
0.000 4.916 0.000
0.000 0.000 4.916
Sm Al N
3 1 1
Cartesian
0.000 0.000 2.458 Sm
0.000 2.458 0.000 Sm
2.458 0.000 0.000 Sm
2.458 2.458 2.458 Al
0.000 0.000 0.000 N
```

Peak list (6 most intense, 10 to 90 degrees two-theta, in order of rising 2θ)
- 2θ = 18.04°, 4.916 Å, I = 26
- 2θ = 31.52°, 2.838 Å, I = 100
- 2θ = 36.55°, 2.458 Å, I = 57
- 2θ = 52.66°, 1.738 Å, I = 39
- 2θ = 62.67°, 1.482 Å, I = 43
- 2θ = 89.06°, 1.099 Å, I = 18

---

# 8
Computed powder X-ray diffraction pattern
Compound: Al4Te3N2
Radiation: Cu Kα (λ = 1.5418 Å)
Structure: DFT lattice parameters and positions (PBE)
Neutral-atom scattering factors, no anomalous dispersion.

```
Al4Te3N2
1.0
6.398 0.000 0.000
0.000 11.154 0.000
0.000 0.000 10.608
Al Te N
16 12 8
Cartesian
0.681 2.789 1.146 Al
0.734 0.278 9.550 Al
0.734 5.299 9.550 Al
1.420 8.366 0.442 Al
1.779 2.789 5.746 Al
2.465 5.855 4.246 Al
2.465 10.876 4.246 Al
2.519 8.366 6.450 Al
3.880 2.789 4.159 Al
3.933 0.278 6.363 Al
3.933 5.299 6.363 Al
4.619 8.366 4.862 Al
4.978 2.789 10.166 Al
5.664 5.855 1.059 Al
5.664 10.876 1.059 Al
5.718 8.366 9.463 Al
0.035 2.789 3.703 Te
0.114 0.824 7.000 Te
0.114 4.753 7.000 Te
3.085 6.401 1.695 Te
3.085 10.330 1.695 Te
3.165 8.366 9.007 Te
3.234 2.789 1.601 Te
3.313 0.824 8.913 Te
3.313 4.753 8.913 Te
6.284 6.401 3.609 Te
6.284 10.330 3.609 Te
6.364 8.366 6.905 Te
0.171 6.958 10.388 N
0.171 9.773 10.388 N
3.028 1.381 5.084 N
3.028 4.196 5.084 N
3.371 6.958 5.525 N
3.371 9.773 5.525 N
6.227 1.381 0.221 N
6.227 4.196 0.221 N
```

Peak list (6 most intense, 10 to 90 degrees two-theta, in order of rising 2θ)
- 2θ = 25.38°, 3.509 Å, I = 100
- 2θ = 27.89°, 3.199 Å, I = 53
- 2θ = 28.85°, 3.095 Å, I = 91
- 2θ = 32.57°, 2.749 Å, I = 91
- 2θ = 38.06°, 2.364 Å, I = 61
- 2θ = 44.30°, 2.044 Å, I = 43

---

# 9
Computed powder X-ray diffraction pattern
Compound: Ti4AlN3
Radiation: Cu Kα (λ = 1.5418 Å)
Structure: DFT lattice parameters and positions (PBE)
Neutral-atom scattering factors, no anomalous dispersion.

```
Ti4AlN3
1.0
2.995 0.000 0.000
-1.497 2.594 0.000
0.000 0.000 23.496
Ti Al N
8 2 6
Cartesian
0.000 0.000 3.629 Ti
0.000 0.000 8.119 Ti
0.000 0.000 15.377 Ti
0.000 0.000 19.867 Ti
0.000 1.729 1.268 Ti
0.000 1.729 10.480 Ti
1.497 0.865 13.016 Ti
1.497 0.865 22.228 Ti
0.000 1.729 5.874 Al
1.497 0.865 17.622 Al
0.000 0.000 0.000 N
0.000 0.000 11.748 N
0.000 1.729 14.231 N
0.000 1.729 21.013 N
1.497 0.865 2.483 N
1.497 0.865 9.265 N
```

Peak list (6 most intense, 10 to 90 degrees two-theta, in order of rising 2θ)
- 2θ = 37.92°, 2.373 Å, I = 32
- 2θ = 38.31°, 2.350 Å, I = 32
- 2θ = 39.69°, 2.271 Å, I = 70
- 2θ = 41.77°, 2.162 Å, I = 100
- 2θ = 61.97°, 1.497 Å, I = 44
- 2θ = 75.25°, 1.263 Å, I = 25

---

# 10
Computed powder X-ray diffraction pattern
Compound: Ti3AlN
Radiation: Cu Kα (λ = 1.5418 Å)
Structure: DFT lattice parameters and positions (PBE)
Neutral-atom scattering factors, no anomalous dispersion.

```
Ti3AlN
1.0
4.130 0.000 0.000
0.000 4.130 0.000
0.000 0.000 4.130
Ti Al N
3 1 1
Cartesian
0.000 0.000 2.065 Ti
0.000 2.065 0.000 Ti
2.065 0.000 0.000 Ti
2.065 2.065 2.065 Al
0.000 0.000 0.000 N
```

Peak list (6 most intense, 10 to 90 degrees two-theta, in order of rising 2θ)
- 2θ = 21.52°, 4.130 Å, I = 18
- 2θ = 37.73°, 2.384 Å, I = 100
- 2θ = 43.84°, 2.065 Å, I = 64
- 2θ = 63.74°, 1.460 Å, I = 38
- 2θ = 76.50°, 1.245 Å, I = 33
- 2θ = 80.58°, 1.192 Å, I = 12

---

# 11
Computed powder X-ray diffraction pattern
Compound: Tm3AlN
Radiation: Cu Kα (λ = 1.5418 Å)
Structure: DFT lattice parameters and positions (PBE)
Neutral-atom scattering factors, no anomalous dispersion.

```
Tm3AlN
1.0
4.685 0.000 0.000
0.000 4.685 0.000
0.000 0.000 4.685
Tm Al N
3 1 1
Cartesian
0.000 0.000 2.343 Tm
0.000 2.343 0.000 Tm
2.343 0.000 0.000 Tm
2.343 2.343 2.343 Al
0.000 0.000 0.000 N
```

Peak list (6 most intense, 10 to 90 degrees two-theta, in order of rising 2θ)
- 2θ = 18.94°, 4.685 Å, I = 27
- 2θ = 26.91°, 3.313 Å, I = 15
- 2θ = 33.12°, 2.705 Å, I = 100
- 2θ = 38.43°, 2.343 Å, I = 56
- 2θ = 55.47°, 1.656 Å, I = 38
- 2θ = 66.15°, 1.413 Å, I = 42

---

# 12
Computed powder X-ray diffraction pattern
Compound: AlV4N3
Radiation: Cu Kα (λ = 1.5418 Å)
Structure: DFT lattice parameters and positions (PBE)
Neutral-atom scattering factors, no anomalous dispersion.

```
AlV4N3
1.0
2.936 0.000 0.000
-1.468 2.543 0.000
0.000 0.000 22.415
Al V N
2 8 6
Cartesian
0.000 1.695 5.604 Al
1.468 0.848 16.811 Al
0.000 0.000 3.392 V
0.000 0.000 7.815 V
0.000 0.000 14.600 V
0.000 0.000 19.023 V
0.000 1.695 1.247 V
0.000 1.695 9.961 V
1.468 0.848 12.454 V
1.468 0.848 21.168 V
0.000 0.000 0.000 N
0.000 0.000 11.208 N
0.000 1.695 13.619 N
0.000 1.695 20.003 N
1.468 0.848 2.412 N
1.468 0.848 8.796 N
```

Peak list (6 most intense, 10 to 90 degrees two-theta, in order of rising 2θ)
- 2θ = 38.89°, 2.316 Å, I = 39
- 2θ = 40.23°, 2.242 Å, I = 34
- 2θ = 40.80°, 2.212 Å, I = 75
- 2θ = 43.03°, 2.102 Å, I = 100
- 2θ = 63.35°, 1.468 Å, I = 47
- 2θ = 77.79°, 1.228 Å, I = 39